# Mn2BiBr2O2
Simulated X-ray diffraction stick pattern, Cu Kα, 1.54184 Å. Input: a structure optimized by DFT (PBE+U).
Intensities are scaled so that the largest is 1000.

Cell and atoms:
```
data_Mn2BiBr2O2
_chemical_formula_sum 'Mn2 Bi1 Br2 O2'
_cell_length_a 3.655
_cell_length_b 6.780
_cell_length_c 6.828
_cell_angle_alpha 91.40
_cell_angle_beta 105.39
_cell_angle_gamma 105.41
_symmetry_space_group_name_H-M 'P -1'
_symmetry_Int_Tables_number 2
loop_
_symmetry_equiv_pos_as_xyz
'x,y,z'
'-x,-y,-z'
loop_
_atom_site_label
_atom_site_type_symbol
_atom_site_fract_x
_atom_site_fract_y
_atom_site_fract_z
Mn1 Mn 0.128 0.443 0.311
Bi1 Bi 0.500 0.000 0.500
Br1 Br 0.193 0.768 0.095
O1 O 0.376 0.660 0.595
```

Top 10 peaks for 2θ from 10° to 80°, in order of falling intensity:
hkl	d (Å)	I/Imax
1 -1 0	3.422	1000
0 2 -1	3.038	501
0 1 2	2.812	447
0 0 1	6.535	389
1 1 -1	2.776	212
1 0 -3	2.130	208
0 1 -1	4.870	206
-1 2 2	2.281	190
1 1 1	2.291	187
0 1 -3	2.136	180